Structure and theoretical XRD peak list of Pr3WCl3O6 (DFT lattice parameters and positions (PBE+U); a wavelength of 1.5418 Å).
Peak positions follow from Bragg's law for the DFT cell and can differ from measured ones.

Crystal structure
Cell lengths 9.431, 9.431, 5.444 Å; angles 90.00, 90.00, 120.00 degrees
Fractional coordinates of all 26 atoms:
Pr (0.090, 0.404, 0.250)
Pr (0.314, 0.910, 0.250)
Pr (0.404, 0.314, 0.750)
Pr (0.596, 0.686, 0.250)
Pr (0.686, 0.090, 0.750)
Pr (0.910, 0.596, 0.750)
W (0.333, 0.667, 0.750)
W (0.667, 0.333, 0.250)
Cl (0.048, 0.241, 0.750)
Cl (0.193, 0.952, 0.750)
Cl (0.241, 0.193, 0.250)
Cl (0.759, 0.807, 0.750)
Cl (0.807, 0.048, 0.250)
Cl (0.952, 0.759, 0.250)
O (0.160, 0.636, 0.519)
O (0.160, 0.636, 0.981)
O (0.364, 0.524, 0.519)
O (0.364, 0.524, 0.981)
O (0.476, 0.840, 0.519)
O (0.476, 0.840, 0.981)
O (0.524, 0.160, 0.019)
O (0.524, 0.160, 0.481)
O (0.636, 0.476, 0.019)
O (0.636, 0.476, 0.481)
O (0.840, 0.364, 0.019)
O (0.840, 0.364, 0.481)

Principal peaks in the range 5° ≤ 2θ ≤ 70°, most intense first:
2.685 Å, 33.4 deg, intensity 100; 3.267 Å, 27.3 deg, intensity 59; 8.168 Å, 10.8 deg, intensity 55; 3.564 Å, 25.0 deg, intensity 54; 2.722 Å, 32.9 deg, intensity 49; 2.042 Å, 44.4 deg, intensity 46; 1.772 Å, 51.6 deg, intensity 35; 3.087 Å, 28.9 deg, intensity 34; 1.564 Å, 59.0 deg, intensity 21; 1.925 Å, 47.2 deg, intensity 21